Structure and theoretical XRD peak list of Fe4Rh5 (a crystal structure in Alexandria, relaxed with GGA-PBE; a wavelength of 1.5418 Å).

Top 10 peaks for 2θ = 10–80°, by intensity:
index  2θ (°)  d/Å  I_rel
0 3 3  41.31  2.186  100
1 0 3  42.40  2.132  99
1 3 0  44.53  2.035  92
1 6 3  79.06  1.211  23
1 3 6  74.55  1.273  22
2 0 0  66.40  1.408  14
0 0 6  56.40  1.631  14
0 6 0  63.17  1.472  13
1 1 2  38.26  2.352  12
0 2 4  42.22  2.140  10

Atomic structure:
Cell: 2.8157 8.8318 9.7883 Å, 90.00 90.00 90.00°
Space group Immm (No. 71)
Symmetry-distinct sites (fractional):
Fe: 0.0000 0.1838 0.1582
Rh: 0.0000 0.1499 0.5000
Rh: 0.0000 0.5000 0.2023
Rh: 0.0000 0.5000 0.5000